[1]
Structure and simulated X-ray diffraction stick pattern of CsPrMo2O8 (DFT lattice parameters and positions (PBE+U); a wavelength of 1.5418 Å).
Peak positions follow from Bragg's law for the DFT cell and can differ from measured ones.

Structural model:
Cell lengths 5.186, 9.795, 8.492 Å; angles 90.00, 90.00, 90.00 degrees
Element x y z (fractional)
Cs 0.000 0.000 0.250
Cs 0.000 0.000 0.750
Pr 0.000 0.500 0.250
Pr 0.000 0.500 0.750
Mo 0.481 0.300 0.000
Mo 0.481 0.700 0.500
Mo 0.519 0.300 0.500
Mo 0.519 0.700 0.000
O 0.254 0.428 0.500
O 0.254 0.572 0.000
O 0.268 0.310 0.168
O 0.268 0.310 0.832
O 0.268 0.690 0.332
O 0.268 0.690 0.668
O 0.378 0.138 0.500
O 0.378 0.862 0.000
O 0.622 0.138 0.000
O 0.622 0.862 0.500
O 0.732 0.310 0.332
O 0.732 0.310 0.668
O 0.732 0.690 0.168
O 0.732 0.690 0.832
O 0.746 0.428 0.000
O 0.746 0.572 0.500

Principal peaks in the range 15 to 90 degrees two-theta, in order of falling intensity:
two_theta	intensity
27.1	100
25.0	98
27.8	58
44.9	45
50.0	28
42.6	23
46.2	19
34.6	17
56.0	16
68.8	14


[2]
Structure and simulated X-ray diffraction stick pattern of CsRb3Mo6O20 (DFT lattice parameters and positions (PBE+U); a wavelength of 1.5418 Å).
Peak positions follow from Bragg's law for the DFT cell and can differ from measured ones.

Structural model:
Cell lengths 8.595, 8.677, 8.841 Å; angles 63.13, 85.74, 74.45 degrees
Element x y z (fractional)
Cs 0.000 0.000 0.000
Rb 0.155 0.259 0.367
Rb 0.463 0.210 0.816
Rb 0.618 0.472 0.181
Mo 0.073 0.579 0.890
Mo 0.276 0.676 0.447
Mo 0.344 0.792 0.736
Mo 0.544 0.890 0.293
Mo 0.764 0.539 0.626
Mo 0.855 0.930 0.556
O 0.042 0.863 0.694
O 0.069 0.774 0.390
O 0.139 0.347 0.961
O 0.252 0.643 0.948
O 0.277 0.588 0.687
O 0.296 0.995 0.750
O 0.324 0.474 0.431
O 0.342 0.880 0.496
O 0.366 0.827 0.235
O 0.481 0.123 0.222
O 0.550 0.693 0.797
O 0.577 0.606 0.487
O 0.669 0.867 0.135
O 0.710 0.032 0.654
O 0.715 0.831 0.468
O 0.734 0.363 0.817
O 0.882 0.109 0.365
O 0.904 0.638 0.714
O 0.909 0.436 0.529
O 0.948 0.601 0.048

Principal peaks in the range 15 to 90 degrees two-theta, in order of falling intensity:
two_theta	intensity
23.8	100
25.6	73
26.0	67
28.7	39
24.4	39
30.2	34
27.3	22
30.4	20
21.3	17
32.0	17


[3]
Structure and simulated X-ray diffraction stick pattern of CsRbMo3O10 (DFT lattice parameters and positions (PBE+U); a wavelength of 1.5418 Å).
Peak positions follow from Bragg's law for the DFT cell and can differ from measured ones.

Structural model:
Cell lengths 8.547, 8.653, 8.759 Å; angles 63.24, 85.65, 74.63 degrees
Element x y z (fractional)
Cs 0.191 0.266 0.410
Cs 0.809 0.734 0.590
Rb 0.346 0.524 0.774
Rb 0.654 0.476 0.226
Mo 0.047 0.196 0.965
Mo 0.265 0.841 0.302
Mo 0.467 0.939 0.856
Mo 0.533 0.061 0.144
Mo 0.735 0.159 0.698
Mo 0.953 0.804 0.035
O 0.074 0.373 0.771
O 0.096 0.903 0.124
O 0.100 0.701 0.939
O 0.140 0.864 0.461
O 0.233 0.132 0.105
O 0.258 0.035 0.804
O 0.329 0.608 0.379
O 0.445 0.907 0.360
O 0.468 0.853 0.098
O 0.489 0.262 0.162
O 0.511 0.738 0.838
O 0.532 0.147 0.902
O 0.555 0.093 0.640
O 0.671 0.392 0.621
O 0.742 0.965 0.196
O 0.767 0.868 0.895
O 0.860 0.136 0.539
O 0.900 0.299 0.061
O 0.904 0.097 0.876
O 0.926 0.627 0.229

Principal peaks in the range 15 to 90 degrees two-theta, in order of falling intensity:
two_theta	intensity
25.7	100
23.9	90
26.1	89
24.5	54
24.0	49
30.3	46
28.7	39
27.3	32
21.3	26
35.6	24


[4]
Structure and simulated X-ray diffraction stick pattern of Cs2MoS2O2 (DFT lattice parameters and positions (PBE+U); a wavelength of 1.5418 Å).
Peak positions follow from Bragg's law for the DFT cell and can differ from measured ones.

Structural model:
Cell lengths 9.606, 8.009, 11.284 Å; angles 90.00, 90.00, 90.00 degrees
Element x y z (fractional)
Cs 0.114 0.210 0.088
Cs 0.114 0.790 0.588
Cs 0.386 0.290 0.588
Cs 0.386 0.710 0.088
Cs 0.614 0.290 0.912
Cs 0.614 0.710 0.412
Cs 0.886 0.210 0.412
Cs 0.886 0.790 0.912
Mo 0.000 0.305 0.750
Mo 0.000 0.695 0.250
Mo 0.500 0.195 0.250
Mo 0.500 0.805 0.750
S 0.168 0.468 0.825
S 0.168 0.532 0.325
S 0.332 0.032 0.325
S 0.332 0.968 0.825
S 0.668 0.032 0.175
S 0.668 0.968 0.675
S 0.832 0.468 0.675
S 0.832 0.532 0.175
O 0.072 0.180 0.634
O 0.072 0.820 0.134
O 0.428 0.320 0.134
O 0.428 0.680 0.634
O 0.572 0.320 0.366
O 0.572 0.680 0.866
O 0.928 0.180 0.866
O 0.928 0.820 0.366

Principal peaks in the range 15 to 90 degrees two-theta, in order of falling intensity:
two_theta	intensity
27.8	100
23.0	92
28.9	45
22.2	42
39.4	30
18.2	27
31.1	26
32.1	25
33.1	22
26.8	21


[5]
Structure and simulated X-ray diffraction stick pattern of Cs2MoS2O2 (DFT lattice parameters and positions (PBE+U); a wavelength of 1.5418 Å).
Peak positions follow from Bragg's law for the DFT cell and can differ from measured ones.

Structural model:
Cell lengths 7.223, 7.223, 10.396 Å; angles 114.70, 114.70, 66.19 degrees
Element x y z (fractional)
Cs 0.149 0.261 0.336
Cs 0.261 0.149 0.836
Cs 0.739 0.851 0.164
Cs 0.851 0.739 0.664
Mo 0.418 0.582 0.250
Mo 0.582 0.418 0.750
S 0.239 0.735 0.068
S 0.265 0.761 0.432
S 0.735 0.239 0.568
S 0.761 0.265 0.932
O 0.314 0.407 0.680
O 0.407 0.314 0.180
O 0.593 0.686 0.820
O 0.686 0.593 0.320

Principal peaks in the range 15 to 90 degrees two-theta, in order of falling intensity:
two_theta	intensity
25.8	100
27.6	57
24.6	53
27.9	49
34.6	42
19.7	40
25.0	39
22.5	32
30.1	31
28.3	30